(1)
Cs2TaHO4: theoretical powder diffractogram (Cu Kα X-rays), based on a cell relaxed with PBE.
No peak broadening, texture or thermal motion is included.

Structural model:
Unit cell a=5.7208 b=12.6163 c=8.4404 alpha=90.00 beta=90.00 gamma=90.00
Space group Cmc2_1 (No. 36)
Asymmetric unit:
Cs 0.0000 0.0421 0.0000
Cs 0.0000 0.3851 0.1829
Ta 0.0000 0.3091 0.7214
H 0.0000 0.1606 0.3297
O 0.0000 0.1654 0.6900
O 0.0000 0.3808 0.5319
O 0.2144 0.1547 0.3246

The 6 most intense peaks (2θ from 10° to 80°), by angle:
2theta	I/Imax	h k l
25.4	55.5	0 2 2
26.3	82.5	1 3 0
27.2	100.0	1 1 2
28.4	74.0	1 3 1
30.3	32.1	0 4 1
31.3	54.7	2 0 0



(2)
Cs2Ta2H2O7: theoretical powder diffractogram (Cu Kα X-rays), based on a cell relaxed with PBE.
No peak broadening, texture or thermal motion is included.

Structural model:
Unit cell a=5.6124 b=18.4644 c=9.4690 alpha=90.00 beta=90.00 gamma=90.00
Space group Pbcm (No. 57)
Asymmetric unit:
Cs 0.0959 0.1960 0.2500
Cs 0.0984 0.0282 0.7500
Ta 0.3869 0.6561 0.5587
H 0.4758 0.0616 0.1686
O 0.2680 0.7500 0.0000
O 0.2817 0.6380 0.7500
O 0.2837 0.5876 0.0631
O 0.2932 0.1583 0.5542
O 0.3689 0.0507 0.2500

The 6 most intense peaks (2θ from 10° to 80°), by angle:
2theta	I/Imax	h k l
23.4	51.3	1 3 1
24.6	91.1	1 0 2
25.0	100.0	1 4 0
26.7	61.0	1 4 1
29.0	54.4	0 6 0
45.7	53.0	2 3 3